[1]
Computed X-ray powder pattern of Zr3Zn2Hg3 for copper Kα, from a cell relaxed with PBE.
Lines closer than 0.1° are merged.

The 10 most intense peaks (10 to 90 degrees two-theta), sorted by position:
24.22 deg, intensity 24; 25.67 deg, intensity 23; 29.31 deg, intensity 19; 35.58 deg, intensity 100; 37.37 deg, intensity 96; 38.37 deg, intensity 43; 45.89 deg, intensity 44; 64.41 deg, intensity 18; 66.43 deg, intensity 36; 69.88 deg, intensity 26

Atomic structure:
```
Zr3Zn2Hg3
1.0
7.351 0.000 0.000
-3.675 6.366 0.000
0.000 0.000 3.470
Zr Zn Hg
3 2 3
Direct
0.000 0.598 0.000
0.402 0.402 0.000
0.598 0.000 0.000
0.333 0.667 0.500
0.667 0.333 0.500
0.000 0.245 0.500
0.245 0.000 0.500
0.755 0.755 0.500
```

---

[2]
Computed X-ray powder pattern of La3Pm3Zn2Hg for copper Kα, from a cell relaxed with PBE.
Lines closer than 0.1° are merged.

The 10 most intense peaks (10 to 90 degrees two-theta), sorted by position:
11.40 deg, intensity 20; 30.46 deg, intensity 29; 30.81 deg, intensity 100; 32.95 deg, intensity 61; 34.66 deg, intensity 75; 38.74 deg, intensity 27; 47.05 deg, intensity 17; 57.09 deg, intensity 38; 60.36 deg, intensity 30; 64.85 deg, intensity 16

Atomic structure:
```
La3Pm3Zn2Hg
1.0
8.964 0.000 0.000
-4.482 7.763 0.000
0.000 0.000 3.807
La Pm Zn Hg
3 3 2 1
Direct
0.000 0.612 0.000
0.388 0.388 0.000
0.612 0.000 0.000
0.000 0.287 0.500
0.287 0.000 0.500
0.713 0.713 0.500
0.333 0.667 0.500
0.667 0.333 0.500
0.000 0.000 0.000
```

---

[3]
Computed X-ray powder pattern of KCu3Br6 for copper Kα, from a cell relaxed with PBE.
Lines closer than 0.1° are merged.

The 10 most intense peaks (10 to 90 degrees two-theta), sorted by position:
17.71 deg, intensity 31; 19.85 deg, intensity 37; 20.74 deg, intensity 53; 21.22 deg, intensity 100; 28.63 deg, intensity 26; 29.33 deg, intensity 43; 35.86 deg, intensity 31; 36.62 deg, intensity 21; 46.41 deg, intensity 20; 49.62 deg, intensity 22

Atomic structure:
```
KCu3Br6
1.0
-4.798 6.984 5.424
4.798 -6.984 5.424
4.798 6.984 -5.424
K Cu Br
2 6 12
Direct
0.250 0.250 0.000
0.750 0.750 0.000
0.203 0.617 0.820
0.250 0.750 0.500
0.297 0.117 0.413
0.703 0.883 0.587
0.750 0.250 0.500
0.797 0.383 0.180
0.064 0.499 0.217
0.139 0.054 0.193
0.218 0.001 0.564
0.282 0.846 0.783
0.361 0.554 0.915
0.436 0.654 0.436
0.564 0.346 0.564
0.639 0.446 0.085
0.718 0.154 0.217
0.782 0.999 0.436
0.861 0.946 0.807
0.936 0.501 0.783
```